Structure and calculated powder X-ray diffraction pattern of Hf3Fe7Co2 (the GGA-PBE geometry in Alexandria; Cu Kα (λ = 1.5418 Å)).
No peak broadening, texture or thermal motion is included.

Peak list (10 most intense, 10° ≤ 2θ ≤ 90°, by intensity)
d/Å, I_rel
2.076, 100
2.430, 56
2.657, 55
2.442, 36
2.097, 35
1.324, 20
1.215, 19
4.146, 18
1.443, 17
1.587, 12

Crystal structure
Unit cell a=8.4715 b=8.4715 c=8.4715 alpha=33.34 beta=33.34 gamma=33.34
Element x y z (fractional)
Hf1 0.0000 0.0000 0.0000
Hf2 0.1414 0.1414 0.1414
Hf3 0.8586 0.8586 0.8586
Fe1 0.0802 0.5854 0.5854
Fe2 0.4146 0.4146 0.9198
Fe3 0.4146 0.9198 0.4146
Fe4 0.5000 0.5000 0.5000
Fe5 0.5854 0.0802 0.5854
Fe6 0.5854 0.5854 0.0802
Fe7 0.9198 0.4146 0.4146
Co1 0.3334 0.3334 0.3334
Co2 0.6666 0.6666 0.6666

=====

Structure and calculated powder X-ray diffraction pattern of NaSbH2Cl8 (the GGA-PBE geometry in Alexandria; Cu Kα (λ = 1.5418 Å)).
No peak broadening, texture or thermal motion is included.

Peak list (10 most intense, 10° ≤ 2θ ≤ 90°, by intensity)
d/Å, I_rel
6.787, 100
2.996, 92
6.839, 85
7.928, 68
4.951, 55
3.199, 40
5.099, 34
2.569, 32
4.872, 29
4.694, 26

Crystal structure
Unit cell a=6.8461 b=6.8514 c=7.9897 alpha=91.46 beta=96.89 gamma=92.86
Element x y z (fractional)
Na1 0.0000 0.0000 0.0000
Sb1 0.0000 0.0000 0.5000
H1 0.2655 0.3200 0.2359
H2 0.7345 0.6800 0.7641
Cl1 0.1784 0.8318 0.3015
Cl2 0.2044 0.8621 0.7305
Cl3 0.2317 0.2787 0.5085
Cl4 0.2761 0.3319 0.0738
Cl5 0.7239 0.6681 0.9262
Cl6 0.7683 0.7213 0.4915
Cl7 0.7956 0.1379 0.2695
Cl8 0.8216 0.1682 0.6985

=====

Structure and calculated powder X-ray diffraction pattern of AcPm3Ho8 (the GGA-PBE geometry in Alexandria; Cu Kα (λ = 1.5418 Å)).
No peak broadening, texture or thermal motion is included.

Peak list (10 most intense, 10° ≤ 2θ ≤ 90°, by intensity)
d/Å, I_rel
2.772, 100
2.870, 24
3.165, 24
1.541, 23
1.637, 21
1.828, 20
1.526, 17
2.126, 16
1.172, 9
1.129, 8

Crystal structure
Unit cell a=8.5431 b=8.5431 c=8.5431 alpha=100.23 beta=95.59 gamma=136.47
Element x y z (fractional)
Ac1 0.0000 0.0000 0.0000
Pm1 0.0886 0.3411 0.7475
Pm2 0.5005 0.0005 0.5000
Pm3 0.5935 0.3411 0.2525
Ho1 0.0049 0.3391 0.3343
Ho2 0.0049 0.6706 0.6657
Ho3 0.0865 0.0024 0.4225
Ho4 0.0865 0.6641 0.0841
Ho5 0.5058 0.3352 0.8293
Ho6 0.5058 0.6765 0.1707
Ho7 0.5800 0.0024 0.9159
Ho8 0.5800 0.6641 0.5775